# 1
Diffraction record for Mn4O7F. The powder X-ray diffraction pattern is calculated, not measured: it uses the PBE+U geometry in the Materials Project and Cu Kα X-rays.
Peak positions follow from Bragg's law for the DFT cell and can differ from measured ones.

Structural model:
Cell: 7.0001 4.9627 7.1788 Å, 90.00 101.76 90.00°
Element x y z (fractional)
Mn: 0.1723 0.0000 0.0671
Mn: 0.1759 0.0334 0.5699
Mn: 0.3240 0.5358 0.4360
Mn: 0.3281 0.5172 0.9129
Mn: 0.6719 0.0172 0.0871
Mn: 0.6760 0.0358 0.5640
Mn: 0.8241 0.5334 0.4301
Mn: 0.8277 0.5000 0.9329
O: 0.0771 0.6774 0.9404
O: 0.0778 0.3611 0.4386
O: 0.1901 0.1855 0.8282
O: 0.1907 0.8552 0.3289
O: 0.3097 0.7071 0.6659
O: 0.4212 0.8379 0.0580
O: 0.4233 0.2064 0.5650
O: 0.5767 0.7064 0.4350
O: 0.5788 0.3379 0.9420
O: 0.6903 0.2071 0.3341
O: 0.8093 0.3552 0.6711
O: 0.8099 0.6855 0.1718
O: 0.9222 0.8611 0.5614
O: 0.9229 0.1774 0.0596
F: 0.3100 0.3406 0.1835
F: 0.6900 0.8406 0.8165

The 10 most intense peaks (10° ≤ 2θ ≤ 90°), by angle:
d [Å], Rel. int.
3.514, 62
3.427, 56
2.868, 96
2.820, 100
2.481, 23
2.405, 45
1.661, 47
1.656, 40
1.619, 40
1.417, 31

# 2
Diffraction record for K4P4H6WO14. The powder X-ray diffraction pattern is calculated, not measured: it uses the PBE+U geometry in the Materials Project and Cu Kα X-rays.
Peak positions follow from Bragg's law for the DFT cell and can differ from measured ones.

Structural model:
Cell: 11.8132 11.8132 14.2540 Å, 117.57 117.57 37.01°
Element x y z (fractional)
K: 0.0102 0.4137 0.3455
K: 0.2203 0.7508 0.9409
K: 0.2492 0.7797 0.5591
K: 0.4137 0.0102 0.8455
K: 0.5863 0.9898 0.1545
K: 0.7508 0.2203 0.4409
K: 0.7797 0.2492 0.0591
K: 0.9898 0.5863 0.6545
P: 0.1217 0.1935 0.0468
P: 0.1935 0.1217 0.5468
P: 0.2648 0.5281 0.2573
P: 0.4719 0.7352 0.2427
P: 0.5281 0.2648 0.7573
P: 0.7352 0.4719 0.7427
P: 0.8065 0.8783 0.4532
P: 0.8783 0.8065 0.9532
H: 0.0933 0.6855 0.3829
H: 0.0957 0.5957 0.0647
H: 0.1360 0.3906 0.1609
H: 0.3145 0.9067 0.1171
H: 0.3906 0.1360 0.6609
H: 0.4043 0.9043 0.4353
H: 0.5957 0.0957 0.5647
H: 0.6094 0.8639 0.3391
H: 0.6855 0.0933 0.8829
H: 0.8640 0.6094 0.8391
H: 0.9043 0.4043 0.9353
H: 0.9067 0.3145 0.6171
W: 0.4415 0.5585 0.2500
W: 0.5585 0.4415 0.7500
O: 0.0780 0.2777 0.4892
O: 0.0829 0.1146 0.5677
O: 0.0874 0.6422 0.0149
O: 0.1146 0.0829 0.0677
O: 0.1376 0.5172 0.1609
O: 0.1421 0.2994 0.1637
O: 0.2293 0.5550 0.3664
O: 0.2777 0.0780 0.9892
O: 0.2994 0.1421 0.6637
O: 0.3335 0.4893 0.7600
O: 0.3578 0.9126 0.4851
O: 0.4450 0.7707 0.1336
O: 0.4828 0.8624 0.3391
O: 0.4893 0.3335 0.2600
O: 0.5107 0.6665 0.7400
O: 0.5172 0.1376 0.6609
O: 0.5550 0.2293 0.8664
O: 0.6422 0.0874 0.5149
O: 0.6665 0.5107 0.2400
O: 0.7006 0.8579 0.3363
O: 0.7223 0.9220 0.0108
O: 0.7707 0.4450 0.6336
O: 0.8579 0.7006 0.8363
O: 0.8624 0.4828 0.8391
O: 0.8854 0.9171 0.9323
O: 0.9126 0.3578 0.9851
O: 0.9171 0.8854 0.4323
O: 0.9220 0.7223 0.5108

The 10 most intense peaks (10° ≤ 2θ ≤ 90°), by angle:
d [Å], Rel. int.
7.005, 41
5.115, 100
4.920, 51
4.293, 36
3.590, 27
3.501, 29
3.321, 14
3.062, 29
2.941, 15
2.846, 20

# 3
Diffraction record for Rb2W2O5. The powder X-ray diffraction pattern is calculated, not measured: it uses the PBE+U geometry in the Materials Project and Cu Kα X-rays.
Peak positions follow from Bragg's law for the DFT cell and can differ from measured ones.

Structural model:
Cell: 9.2482 9.2482 9.2482 Å, 54.82 141.97 142.04°
Element x y z (fractional)
Rb: 0.0178 0.1116 0.1294
Rb: 0.0178 0.3884 0.4062
Rb: 0.9822 0.6116 0.5938
Rb: 0.9822 0.8884 0.8706
W: 0.4775 0.7901 0.1874
W: 0.4867 0.4867 0.0000
W: 0.4867 0.9867 0.5000
W: 0.6028 0.2901 0.8126
O: 0.0060 0.5860 0.9200
O: 0.4692 0.1224 0.6163
O: 0.4692 0.3529 0.8468
O: 0.4920 0.2354 0.2457
O: 0.4920 0.7463 0.7566
O: 0.5060 0.6224 0.1532
O: 0.5060 0.8529 0.3837
O: 0.6660 0.0860 0.0800
O: 0.9897 0.2463 0.7543
O: 0.9897 0.7354 0.2434

The 10 most intense peaks (10° ≤ 2θ ≤ 90°), by angle:
d [Å], Rel. int.
4.258, 23
4.105, 12
3.010, 57
2.955, 100
2.658, 8
2.129, 25
2.052, 13
1.727, 33
1.696, 18
1.478, 15

# 4
Diffraction record for Li5Mn3O8. The powder X-ray diffraction pattern is calculated, not measured: it uses the PBE+U geometry in the Materials Project and Cu Kα X-rays.
Peak positions follow from Bragg's law for the DFT cell and can differ from measured ones.

Structural model:
Cell: 5.8638 5.8638 5.8638 Å, 59.87 59.87 59.87°
Element x y z (fractional)
Li: 0.0000 0.0000 0.0000
Li: 0.0000 0.5000 0.5000
Li: 0.5000 0.0000 0.5000
Li: 0.5000 0.5000 0.0000
Li: 0.5000 0.5000 0.5000
Mn: 0.0000 0.0000 0.5000
Mn: 0.0000 0.5000 0.0000
Mn: 0.5000 0.0000 0.0000
O: 0.2220 0.7498 0.7498
O: 0.2456 0.2456 0.2456
O: 0.2502 0.2502 0.7780
O: 0.2502 0.7780 0.2502
O: 0.7498 0.2220 0.7498
O: 0.7498 0.7498 0.2220
O: 0.7544 0.7544 0.7544
O: 0.7780 0.2502 0.2502

The 10 most intense peaks (10° ≤ 2θ ≤ 90°), by angle:
d [Å], Rel. int.
4.789, 100
4.142, 14
2.929, 11
2.496, 38
2.071, 73
1.902, 10
1.596, 12
1.466, 19
1.463, 20
1.399, 11

# 5
Diffraction record for Li3Fe5O9. The powder X-ray diffraction pattern is calculated, not measured: it uses the PBE+U geometry in the Materials Project and Cu Kα X-rays.
Peak positions follow from Bragg's law for the DFT cell and can differ from measured ones.

Structural model:
Cell: 8.8258 8.8258 5.3616 Å, 90.56 90.56 80.75°
Element x y z (fractional)
Li: 0.0952 0.9048 0.7500
Li: 0.1729 0.3231 0.2835
Li: 0.3231 0.1729 0.7835
Li: 0.6769 0.8271 0.2165
Li: 0.8271 0.6769 0.7165
Li: 0.9048 0.0952 0.2500
Fe: 0.0447 0.7181 0.2067
Fe: 0.1922 0.5233 0.7110
Fe: 0.2819 0.9553 0.2933
Fe: 0.4320 0.5680 0.2500
Fe: 0.4767 0.8078 0.7890
Fe: 0.5233 0.1922 0.2110
Fe: 0.5680 0.4320 0.7500
Fe: 0.7181 0.0447 0.7067
Fe: 0.8078 0.4767 0.2890
Fe: 0.9553 0.2819 0.7933
O: 0.0434 0.6846 0.8500
O: 0.0749 0.9251 0.2500
O: 0.1428 0.3203 0.6554
O: 0.2114 0.5850 0.3670
O: 0.3154 0.9566 0.6500
O: 0.3203 0.1428 0.1554
O: 0.3623 0.4819 0.9223
O: 0.4150 0.7886 0.1330
O: 0.4819 0.3623 0.4223
O: 0.5181 0.6377 0.5777
O: 0.5850 0.2114 0.8670
O: 0.6377 0.5181 0.0777
O: 0.6797 0.8572 0.8446
O: 0.6846 0.0434 0.3500
O: 0.7886 0.4150 0.6330
O: 0.8572 0.6797 0.3446
O: 0.9251 0.0749 0.7500
O: 0.9566 0.3154 0.1500

The 10 most intense peaks (10° ≤ 2θ ≤ 90°), by angle:
d [Å], Rel. int.
8.711, 73
3.911, 100
3.364, 89
2.898, 84
2.859, 28
2.681, 70
2.561, 66
2.538, 37
2.522, 32
1.658, 48

# 6
Diffraction record for K2MgFe4P6O16F12. The powder X-ray diffraction pattern is calculated, not measured: it uses the PBE+U geometry in the Materials Project and Cu Kα X-rays.
Peak positions follow from Bragg's law for the DFT cell and can differ from measured ones.

Structural model:
Cell: 7.8084 8.0224 10.1999 Å, 109.47 101.55 92.57°
Element x y z (fractional)
K: 0.0000 0.0000 0.0000
K: 0.2014 0.4776 0.5515
Mg: 0.7601 0.4319 0.6379
Fe: 0.1086 0.7311 0.2646
Fe: 0.4127 0.3856 0.1063
Fe: 0.5922 0.1943 0.7869
Fe: 0.7871 0.0310 0.4131
P: 0.0060 0.4168 0.9460
P: 0.1837 0.0280 0.5891
P: 0.3764 0.0766 0.2575
P: 0.5399 0.6322 0.9100
P: 0.6825 0.7926 0.6079
P: 0.8220 0.4204 0.3118
O: 0.0005 0.6010 0.0503
O: 0.0316 0.1224 0.5410
O: 0.1778 0.3380 0.9628
O: 0.2149 0.8587 0.4739
O: 0.2380 0.9160 0.2114
O: 0.3243 0.1889 0.1637
O: 0.3455 0.1594 0.6720
O: 0.4897 0.5720 0.0204
O: 0.5650 0.0395 0.2807
O: 0.6103 0.5078 0.7911
O: 0.6257 0.9194 0.7293
O: 0.6425 0.4536 0.2449
O: 0.7332 0.8212 0.4852
O: 0.8326 0.3955 0.4561
O: 0.8473 0.2804 0.9072
O: 0.9801 0.5433 0.3186
F: 0.1244 0.9496 0.7021
F: 0.3045 0.5733 0.2428
F: 0.3541 0.2064 0.4111
F: 0.3761 0.7042 0.8362
F: 0.5076 0.2098 0.9684
F: 0.5514 0.6103 0.5495
F: 0.6676 0.8092 0.9809
F: 0.6889 0.1915 0.6009
F: 0.8433 0.7065 0.6844
F: 0.8558 0.2284 0.2112
F: 0.9108 0.8677 0.2614
F: 0.9902 0.4622 0.7925

The 10 most intense peaks (10° ≤ 2θ ≤ 90°), by angle:
d [Å], Rel. int.
7.218, 42
5.332, 52
3.566, 24
3.460, 100
3.338, 97
3.281, 33
3.268, 89
2.775, 25
2.653, 25
2.108, 22

# 7
Diffraction record for VO2F. The powder X-ray diffraction pattern is calculated, not measured: it uses the PBE+U geometry in the Materials Project and Cu Kα X-rays.
Peak positions follow from Bragg's law for the DFT cell and can differ from measured ones.

Structural model:
Cell: 5.0781 5.1084 9.0081 Å, 76.52 76.01 62.19°
Element x y z (fractional)
V: 0.0000 0.0000 0.0000
V: 0.2069 0.3149 0.2503
V: 0.5000 0.5000 0.5000
V: 0.7931 0.6851 0.7497
O: 0.0599 0.1831 0.1259
O: 0.1263 0.5367 0.6268
O: 0.2013 0.6254 0.1240
O: 0.4542 0.2972 0.3766
O: 0.5458 0.7028 0.6234
O: 0.7987 0.3746 0.8760
O: 0.8737 0.4633 0.3732
O: 0.9401 0.8169 0.8741
F: 0.2910 0.8636 0.3766
F: 0.3724 0.9631 0.8747
F: 0.6276 0.0369 0.1253
F: 0.7090 0.1364 0.6234

The 10 most intense peaks (10° ≤ 2θ ≤ 90°), by angle:
d [Å], Rel. int.
3.765, 99
3.722, 100
3.541, 95
2.664, 13
2.610, 13
2.596, 12
1.882, 20
1.861, 21
1.770, 17
1.678, 20

# 8
Diffraction record for Li3Mn2FeB3O9. The powder X-ray diffraction pattern is calculated, not measured: it uses the PBE+U geometry in the Materials Project and Cu Kα X-rays.
Peak positions follow from Bragg's law for the DFT cell and can differ from measured ones.

Structural model:
Cell: 8.2618 3.1745 14.2907 Å, 90.00 90.04 90.00°
Element x y z (fractional)
Li: 0.0000 0.0000 0.0000
Li: 0.0255 0.0000 0.2923
Li: 0.0729 0.0000 0.6584
Li: 0.4990 0.0000 0.4990
Li: 0.5246 0.0000 0.7922
Li: 0.5730 0.0000 0.1596
Mn: 0.1743 0.5000 0.4703
Mn: 0.1924 0.5000 0.8357
Mn: 0.6730 0.5000 0.9700
Mn: 0.7305 0.5000 0.6439
Fe: 0.2291 0.5000 0.1463
Fe: 0.6900 0.5000 0.3335
B: 0.3649 0.0000 0.9851
B: 0.3657 0.5000 0.6500
B: 0.3667 0.0000 0.3157
B: 0.8640 0.0000 0.4820
B: 0.8658 0.0000 0.8167
B: 0.8675 0.5000 0.1502
O: 0.0059 0.5000 0.2062
O: 0.0160 0.0000 0.8604
O: 0.0169 0.0000 0.5236
O: 0.2109 0.5000 0.6889
O: 0.2278 0.0000 0.0413
O: 0.2277 0.0000 0.3702
O: 0.3511 0.0000 0.8878
O: 0.3540 0.0000 0.2186
O: 0.3848 0.5000 0.5531
O: 0.5013 0.5000 0.7081
O: 0.5185 0.0000 0.3581
O: 0.5185 0.0000 0.0258
O: 0.7147 0.5000 0.1920
O: 0.7254 0.0000 0.8702
O: 0.7266 0.0000 0.5385
O: 0.8481 0.0000 0.3851
O: 0.8557 0.0000 0.7198
O: 0.8823 0.5000 0.0535

The 10 most intense peaks (10° ≤ 2θ ≤ 90°), by angle:
d [Å], Rel. int.
4.128, 100
2.901, 17
2.703, 17
2.516, 81
2.383, 32
2.064, 15
1.906, 28
1.730, 25
1.682, 18
1.400, 13